The following is a simulated powder X-ray diffraction pattern of NaBi2AsO6. It was derived from a crystal structure in Alexandria, relaxed with GGA-PBE, using Cu Kα, 1.54184 Å.

Principal peaks in the range 2θ = 5–70°, by intensity:
| index | 2θ (°) | d/Å | Rel. int. |
| --- | --- | --- | --- |
| 1 1 -3 | 31.35 | 2.853 | 100 |
| 1 1 1 | 31.15 | 2.871 | 94 |
| 1 1 -1 | 21.86 | 4.067 | 76 |
| 1 3 0 | 48.41 | 1.880 | 58 |
| 2 0 -2 | 33.33 | 2.688 | 52 |
| 2 2 -2 | 44.57 | 2.033 | 47 |
| 0 2 1 | 30.83 | 2.900 | 45 |
| 0 0 2 | 22.06 | 4.029 | 43 |
| 0 1 1 | 18.02 | 4.922 | 42 |
| 0 2 0 | 28.72 | 3.109 | 38 |
| 1 1 -2 | 24.58 | 3.621 | 31 |
| 1 1 0 | 24.46 | 3.640 | 29 |

Structure:
```
data_NaBi2AsO6
_chemical_formula_sum 'Na2 Bi4 As2 O12'
_symmetry_space_group_name_H-M 'P 1'
_symmetry_Int_Tables_number 1
_symmetry_space_group_name_Hall 'P 1'
_cell_length_a 5.3763
_cell_length_b 6.2170
_cell_length_c 9.6499
_cell_angle_alpha 90.00
_cell_angle_beta 123.38
_cell_angle_gamma 90.00
loop_
_atom_site_label
_atom_site_type_symbol
_atom_site_fract_x
_atom_site_fract_y
_atom_site_fract_z
_atom_site_occupancy
Na1 Na 0.0000 0.0000 0.0000 1
Na2 Na 0.0000 0.5000 0.5000 1
Bi1 Bi 0.2116 0.0698 0.7238 1
Bi2 Bi 0.2116 0.4302 0.2238 1
Bi3 Bi 0.7884 0.5698 0.7762 1
Bi4 Bi 0.7884 0.9302 0.2762 1
As1 As 0.5000 0.0000 0.5000 1
As2 As 0.5000 0.5000 0.0000 1
O1 O 0.1834 0.1598 0.4831 1
O2 O 0.1834 0.3402 0.9831 1
O3 O 0.2488 0.7392 0.9212 1
O4 O 0.2488 0.7608 0.4212 1
O5 O 0.3724 0.0719 0.2809 1
O6 O 0.3724 0.4281 0.7809 1
O7 O 0.6276 0.5719 0.2191 1
O8 O 0.6276 0.9281 0.7191 1
O9 O 0.7512 0.2392 0.5788 1
O10 O 0.7512 0.2608 0.0788 1
O11 O 0.8166 0.6598 0.0169 1
O12 O 0.8166 0.8402 0.5169 1
```